(1)
Structure and computed powder XRD pattern of Tm2GeO5 (DFT lattice parameters and positions (GGA-PBE); Cu Kα).
No peak broadening, texture or thermal motion is included.

abc: 10.2369 3.6602 11.0330
angles: 90.00 90.00 90.00
Positions (direct):
Tm: 0.1092 0.2500 0.2238
Tm: 0.1351 0.2500 0.5599
Tm: 0.3649 0.7500 0.0599
Tm: 0.3908 0.7500 0.7238
Tm: 0.6092 0.2500 0.2762
Tm: 0.6351 0.2500 0.9401
Tm: 0.8649 0.7500 0.4401
Tm: 0.8908 0.7500 0.7762
Ge: 0.1767 0.2500 0.8829
Ge: 0.3233 0.7500 0.3829
Ge: 0.6767 0.2500 0.6171
Ge: 0.8233 0.7500 0.1171
O: 0.0094 0.7500 0.6040
O: 0.0100 0.2500 0.8425
O: 0.2215 0.2500 0.0432
O: 0.2388 0.7500 0.8864
O: 0.2403 0.7500 0.2334
O: 0.2597 0.2500 0.7334
O: 0.2612 0.2500 0.3864
O: 0.2785 0.7500 0.5432
O: 0.4900 0.7500 0.3425
O: 0.4906 0.2500 0.1040
O: 0.5094 0.7500 0.8960
O: 0.5100 0.2500 0.6575
O: 0.7215 0.2500 0.4568
O: 0.7388 0.7500 0.6136
O: 0.7403 0.7500 0.2666
O: 0.7597 0.2500 0.7666
O: 0.7612 0.2500 0.1136
O: 0.7785 0.7500 0.9568
O: 0.9900 0.7500 0.1575
O: 0.9906 0.2500 0.3960

Largest 8 diffraction maxima, in order of rising 2θ, 10° ≤ 2θ ≤ 80°:
| two_theta | I_rel |
| --- | --- |
| 11.8 | 10.3 |
| 25.7 | 11.5 |
| 30.0 | 100.0 |
| 34.6 | 23.4 |
| 49.8 | 10.5 |
| 50.1 | 20.9 |
| 59.2 | 12.8 |
| 59.8 | 8.4 |

=====

(2)
Structure and computed powder XRD pattern of ErAlO3 (DFT lattice parameters and positions (GGA-PBE); Cu Kα).
No peak broadening, texture or thermal motion is included.

abc: 3.4458 3.4458 11.4497
angles: 90.00 90.00 120.00
Positions (direct):
Er: 0.0000 0.0000 0.0000
Er: 0.0000 0.0000 0.5000
Al: 0.3333 0.6667 0.2500
Al: 0.6667 0.3333 0.7500
O: 0.0000 0.0000 0.2500
O: 0.0000 0.0000 0.7500
O: 0.3333 0.6667 0.0911
O: 0.3333 0.6667 0.4089
O: 0.6667 0.3333 0.5911
O: 0.6667 0.3333 0.9089

Largest 8 diffraction maxima, in order of rising 2θ, 10° ≤ 2θ ≤ 80°:
| two_theta | I_rel |
| --- | --- |
| 15.5 | 81.4 |
| 29.9 | 66.1 |
| 31.2 | 30.1 |
| 33.9 | 100.0 |
| 43.8 | 64.6 |
| 53.2 | 31.9 |
| 57.3 | 29.5 |
| 63.0 | 24.7 |

=====

(3)
Structure and computed powder XRD pattern of Ce8SnPd24 (DFT lattice parameters and positions (GGA-PBE); Cu Kα).
No peak broadening, texture or thermal motion is included.

abc: 8.4870 8.4870 8.4870
angles: 90.00 90.00 90.00
Positions (direct):
Ce: 0.2479 0.2479 0.2479
Ce: 0.2479 0.2479 0.7521
Ce: 0.2479 0.7521 0.2479
Ce: 0.2479 0.7521 0.7521
Ce: 0.7521 0.2479 0.2479
Ce: 0.7521 0.2479 0.7521
Ce: 0.7521 0.7521 0.2479
Ce: 0.7521 0.7521 0.7521
Sn: 0.0000 0.0000 0.0000
Pd: 0.0000 0.0000 0.3158
Pd: 0.0000 0.0000 0.6842
Pd: 0.0000 0.2672 0.5000
Pd: 0.0000 0.3158 0.0000
Pd: 0.0000 0.5000 0.2672
Pd: 0.0000 0.5000 0.7328
Pd: 0.0000 0.6842 0.0000
Pd: 0.0000 0.7328 0.5000
Pd: 0.2549 0.5000 0.5000
Pd: 0.2672 0.0000 0.5000
Pd: 0.2672 0.5000 0.0000
Pd: 0.3158 0.0000 0.0000
Pd: 0.5000 0.0000 0.2672
Pd: 0.5000 0.0000 0.7328
Pd: 0.5000 0.2549 0.5000
Pd: 0.5000 0.2672 0.0000
Pd: 0.5000 0.5000 0.2549
Pd: 0.5000 0.5000 0.7451
Pd: 0.5000 0.7328 0.0000
Pd: 0.5000 0.7451 0.5000
Pd: 0.6842 0.0000 0.0000
Pd: 0.7328 0.0000 0.5000
Pd: 0.7328 0.5000 0.0000
Pd: 0.7451 0.5000 0.5000

Largest 8 diffraction maxima, in order of rising 2θ, 10° ≤ 2θ ≤ 80°:
| two_theta | I_rel |
| --- | --- |
| 29.8 | 6.4 |
| 36.7 | 100.0 |
| 38.2 | 8.6 |
| 42.6 | 55.4 |
| 44.0 | 6.2 |
| 61.8 | 30.8 |
| 74.1 | 28.7 |
| 78.0 | 8.7 |

=====

(4)
Structure and computed powder XRD pattern of Pr4S3N2 (DFT lattice parameters and positions (GGA-PBE); Cu Kα).
No peak broadening, texture or thermal motion is included.

abc: 10.3333 10.3333 12.8475
angles: 127.85 127.85 57.84
Positions (direct):
Pr: 0.0780 0.6877 0.2547
Pr: 0.1133 0.7029 0.8154
Pr: 0.1361 0.2175 0.5630
Pr: 0.2175 0.1361 0.0630
Pr: 0.2971 0.8867 0.6846
Pr: 0.3117 0.4172 0.4750
Pr: 0.3123 0.9220 0.2453
Pr: 0.4172 0.3117 0.9750
Pr: 0.5828 0.6883 0.0250
Pr: 0.6877 0.0780 0.7547
Pr: 0.6883 0.5828 0.5250
Pr: 0.7029 0.1133 0.3154
Pr: 0.7825 0.8639 0.9370
Pr: 0.8639 0.7825 0.4370
Pr: 0.8867 0.2971 0.1846
Pr: 0.9220 0.3123 0.7453
S: 0.0000 0.5000 0.5000
S: 0.0208 0.9792 0.7500
S: 0.1099 0.6126 0.9915
S: 0.3874 0.8901 0.5085
S: 0.3965 0.4028 0.7753
S: 0.4028 0.3965 0.2753
S: 0.5000 0.0000 0.0000
S: 0.5972 0.6035 0.7247
S: 0.6035 0.5972 0.2247
S: 0.6126 0.1099 0.4915
S: 0.8901 0.3874 0.0085
S: 0.9792 0.0208 0.2500
N: 0.1456 0.6855 0.4629
N: 0.1848 0.1978 0.2557
N: 0.1978 0.1848 0.7557
N: 0.3145 0.8544 0.0371
N: 0.6855 0.1456 0.9629
N: 0.8022 0.8152 0.2443
N: 0.8152 0.8022 0.7443
N: 0.8544 0.3145 0.5371

Largest 8 diffraction maxima, in order of rising 2θ, 10° ≤ 2θ ≤ 80°:
| two_theta | I_rel |
| --- | --- |
| 26.4 | 59.0 |
| 26.6 | 100.0 |
| 27.7 | 78.3 |
| 27.8 | 69.9 |
| 30.9 | 31.2 |
| 31.0 | 31.4 |
| 35.9 | 34.9 |
| 46.0 | 33.0 |

=====

(5)
Structure and computed powder XRD pattern of Cs2Zn5P6H14O28 (DFT lattice parameters and positions (GGA-PBE); Cu Kα).
No peak broadening, texture or thermal motion is included.

abc: 8.6092 10.0025 10.0187
angles: 111.17 111.34 98.89
Positions (direct):
Cs: 0.0142 0.0003 0.2436
Cs: 0.9858 0.9997 0.7564
Zn: 0.0741 0.6642 0.4268
Zn: 0.4431 0.3342 0.7734
Zn: 0.5000 0.0000 0.0000
Zn: 0.5569 0.6658 0.2266
Zn: 0.9259 0.3358 0.5732
P: 0.1895 0.4424 0.9299
P: 0.2663 0.4455 0.5332
P: 0.3706 0.9856 0.6329
P: 0.6294 0.0144 0.3671
P: 0.7337 0.5545 0.4668
P: 0.8105 0.5576 0.0701
H: 0.0746 0.4353 0.0945
H: 0.2631 0.7213 0.7807
H: 0.2983 0.7262 0.9490
H: 0.3673 0.4388 0.3546
H: 0.3760 0.2263 0.0963
H: 0.3950 0.1458 0.2082
H: 0.4599 0.1143 0.4710
H: 0.5401 0.8857 0.5290
H: 0.6050 0.8542 0.7918
H: 0.6240 0.7737 0.9037
H: 0.6327 0.5612 0.6454
H: 0.7017 0.2738 0.0510
H: 0.7369 0.2787 0.2193
H: 0.9254 0.5647 0.9055
O: 0.0262 0.4561 0.8077
O: 0.1161 0.3204 0.5086
O: 0.1270 0.3739 0.0304
O: 0.1932 0.8757 0.4868
O: 0.2334 0.5993 0.5693
O: 0.2630 0.3252 0.8499
O: 0.2736 0.3779 0.3653
O: 0.2876 0.7895 0.8910
O: 0.3251 0.6038 0.0421
O: 0.3485 0.1273 0.0948
O: 0.3739 0.0218 0.7946
O: 0.4152 0.1322 0.6126
O: 0.4466 0.4713 0.6695
O: 0.4775 0.0891 0.3700
O: 0.5225 0.9109 0.6300
O: 0.5534 0.5287 0.3305
O: 0.5848 0.8678 0.3874
O: 0.6261 0.9782 0.2054
O: 0.6515 0.8727 0.9052
O: 0.6749 0.3962 0.9579
O: 0.7124 0.2105 0.1090
O: 0.7264 0.6221 0.6347
O: 0.7370 0.6748 0.1501
O: 0.7666 0.4007 0.4307
O: 0.8068 0.1243 0.5132
O: 0.8730 0.6261 0.9696
O: 0.8839 0.6796 0.4914
O: 0.9738 0.5439 0.1923

Largest 8 diffraction maxima, in order of rising 2θ, 10° ≤ 2θ ≤ 80°:
| two_theta | I_rel |
| --- | --- |
| 11.7 | 68.1 |
| 20.2 | 52.0 |
| 21.9 | 42.3 |
| 23.5 | 100.0 |
| 24.2 | 54.5 |
| 25.6 | 42.2 |
| 26.2 | 67.5 |
| 30.4 | 42.9 |

=====

(6)
Structure and computed powder XRD pattern of IrN (DFT lattice parameters and positions (GGA-PBE); Cu Kα).
No peak broadening, texture or thermal motion is included.

abc: 4.4052 4.4052 4.4052
angles: 90.00 90.00 90.00
Positions (direct):
Ir: 0.0000 0.0000 0.0000
Ir: 0.0000 0.5000 0.5000
Ir: 0.5000 0.0000 0.5000
Ir: 0.5000 0.5000 0.0000
N: 0.0000 0.0000 0.5000
N: 0.0000 0.5000 0.0000
N: 0.5000 0.0000 0.0000
N: 0.5000 0.5000 0.5000

Largest 5 diffraction maxima, in order of rising 2θ, 10° ≤ 2θ ≤ 80°:
| two_theta | I_rel |
| --- | --- |
| 35.3 | 100.0 |
| 41.0 | 66.0 |
| 59.3 | 44.1 |
| 71.0 | 42.3 |
| 74.6 | 14.9 |

=====

(7)
Structure and computed powder XRD pattern of TbCr6Ge6 (DFT lattice parameters and positions (GGA-PBE); Cu Kα).
No peak broadening, texture or thermal motion is included.

abc: 5.1166 5.1166 8.3272
angles: 90.00 90.00 120.00
Positions (direct):
Tb: 0.0000 0.0000 0.0000
Cr: 0.0000 0.5000 0.2505
Cr: 0.0000 0.5000 0.7495
Cr: 0.5000 0.0000 0.2505
Cr: 0.5000 0.0000 0.7495
Cr: 0.5000 0.5000 0.2505
Cr: 0.5000 0.5000 0.7495
Ge: 0.0000 0.0000 0.3461
Ge: 0.0000 0.0000 0.6539
Ge: 0.3333 0.6667 0.0000
Ge: 0.3333 0.6667 0.5000
Ge: 0.6667 0.3333 0.0000
Ge: 0.6667 0.3333 0.5000

Largest 8 diffraction maxima, in order of rising 2θ, 10° ≤ 2θ ≤ 80°:
| two_theta | I_rel |
| --- | --- |
| 35.1 | 76.6 |
| 38.3 | 43.9 |
| 40.7 | 45.5 |
| 41.4 | 100.0 |
| 46.4 | 35.3 |
| 48.4 | 32.9 |
| 74.1 | 27.1 |
| 78.4 | 27.2 |